Entry 1:
Theoretical PXRD pattern of Ta7Nb2Rh2 for CuKα, from a cell relaxed with GGA-PBE.
Lines closer than 0.1° are merged.

Structure:
```
data_Ta7Nb2Rh2
_space_group_name_H-M_alt 'P -1'
_space_group_IT_number 2
_space_group_name_Hall '-P 1'
_cell_length_a 5.4230
_cell_length_b 5.4263
_cell_length_c 7.1333
_cell_angle_alpha 69.51
_cell_angle_beta 77.31
_cell_angle_gamma 84.21
loop_
_atom_site_label
_atom_site_type_symbol
_atom_site_fract_x
_atom_site_fract_y
_atom_site_fract_z
Ta1 Ta 0.0000 0.0000 0.0000
Ta2 Ta 0.1881 0.9146 0.3618
Ta3 Ta 0.2737 0.3603 0.5436
Ta4 Ta 0.4532 0.2728 0.9126
Nb1 Nb 0.3549 0.8164 0.7318
Rh1 Rh 0.0969 0.4554 0.1924
```

Top 10 peaks for 10 to 90 degrees two-theta, in order of rising 2θ:
| 2θ/deg | I (rel.) | (hkl) |
| --- | --- | --- |
| 38.7 | 34 | 2 1 2 |
| 39.0 | 100 | 1 2 0 |
| 39.2 | 66 | -1 2 1 |
| 56.0 | 12 | 1 3 3 |
| 56.4 | 11 | 3 -1 1 |
| 56.5 | 12 | 1 1 -3 |
| 70.1 | 12 | 3 3 2 |
| 70.5 | 12 | 4 1 1 |
| 70.6 | 12 | 0 4 1 |
| 70.8 | 12 | 2 -3 1 |

Entry 2:
Theoretical PXRD pattern of Zr2In2Pd3 for CuKα, from a cell relaxed with GGA-PBE.
Lines closer than 0.1° are merged.

Structure:
```
data_Zr2In2Pd3
_space_group_name_H-M_alt 'P -1'
_space_group_IT_number 2
_space_group_name_Hall '-P 1'
_cell_length_a 4.7002
_cell_length_b 4.7084
_cell_length_c 7.8166
_cell_angle_alpha 72.94
_cell_angle_beta 72.84
_cell_angle_gamma 60.45
loop_
_atom_site_label
_atom_site_type_symbol
_atom_site_fract_x
_atom_site_fract_y
_atom_site_fract_z
Zr1 Zr 0.1152 0.1154 0.1517
In1 In 0.3680 0.3678 0.3933
Pd1 Pd 0.2427 0.2433 0.7776
Pd2 Pd 0.5000 0.5000 0.0000
```

Top 10 peaks for 10 to 90 degrees two-theta, in order of rising 2θ:
| 2θ/deg | I (rel.) | (hkl) |
| --- | --- | --- |
| 35.9 | 23 | 1 0 -2 |
| 38.0 | 51 | 1 -1 0 |
| 38.3 | 100 | 2 1 1 |
| 39.4 | 80 | 1 1 -2 |
| 39.5 | 39 | 0 1 3 |
| 55.8 | 14 | 0 2 -2 |
| 56.0 | 14 | 2 0 -2 |
| 56.4 | 13 | 2 2 4 |
| 69.6 | 14 | 2 -1 3 |
| 70.1 | 14 | 3 1 4 |

Entry 3:
Theoretical PXRD pattern of CaB3F12 for CuKα, from a cell relaxed with GGA-PBE.
Lines closer than 0.1° are merged.

Structure:
```
data_CaB3F12
_space_group_name_H-M_alt 'P 63/m'
_space_group_IT_number 176
_space_group_name_Hall '-P 6c'
_cell_length_a 9.5944
_cell_length_b 9.5944
_cell_length_c 5.6998
_cell_angle_alpha 90.00
_cell_angle_beta 90.00
_cell_angle_gamma 120.00
loop_
_atom_site_label
_atom_site_type_symbol
_atom_site_fract_x
_atom_site_fract_y
_atom_site_fract_z
Ca1 Ca 0.3333 0.6667 0.2500
B1 B 0.0935 0.7052 0.7500
F1 F 0.0541 0.4424 0.2500
F2 F 0.0674 0.8351 0.7500
F3 F 0.1823 0.7103 0.5470
```

Top 10 peaks for 10 to 90 degrees two-theta, in order of rising 2θ:
| 2θ/deg | I (rel.) | (hkl) |
| --- | --- | --- |
| 10.6 | 87 | 1 0 0 |
| 24.3 | 100 | 1 1 1 |
| 26.5 | 72 | 2 0 1 |
| 28.4 | 28 | 2 1 0 |
| 39.1 | 15 | 1 3 0 |
| 42.3 | 36 | 1 3 1 |
| 42.9 | 50 | 2 1 2 |
| 47.7 | 20 | 3 2 0 |
| 50.3 | 17 | 1 4 0 |
| 51.0 | 15 | 1 3 2 |